1.
Theoretical PXRD pattern of Np2Ge8Os for Cu Kα (λ = 1.5418 Å), from a crystal structure in Alexandria, relaxed with PBE.

The 10 most intense peaks (5° ≤ 2θ ≤ 70°), most intense first:
| hkl | d/Å | I (rel.) |
| --- | --- | --- |
| 1 1 3 | 2.349 | 100.0 |
| 2 0 0 | 2.150 | 48.2 |
| 1 0 0 | 4.301 | 45.8 |
| 1 0 3 | 2.804 | 29.4 |
| 1 1 2 | 2.667 | 17.6 |
| 2 2 0 | 1.521 | 16.1 |
| 2 1 3 | 1.706 | 14.2 |
| 2 0 5 | 1.544 | 11.6 |
| 2 1 0 | 1.923 | 11.1 |
| 2 0 6 | 1.402 | 9.7 |

Atomic structure:
Cell lengths 4.3009, 4.3009, 11.0916 Å; angles 90.00, 90.00, 90.00 degrees
Space group P4/mmm (No. 123)
One atom of each set of equivalent atoms:
Np 0.0000 0.0000 0.1871
Ge 0.0000 0.5000 0.0000
Ge 0.0000 0.5000 0.3733
Ge 0.5000 0.5000 0.1899
Os 0.0000 0.0000 0.5000

2.
Theoretical PXRD pattern of Np3Ge3Os2 for Cu Kα (λ = 1.5418 Å), from a crystal structure in Alexandria, relaxed with PBE.

The 10 most intense peaks (5° ≤ 2θ ≤ 70°), most intense first:
| hkl | d/Å | I (rel.) |
| --- | --- | --- |
| 1 1 2 | 2.558 | 100.0 |
| 2 4 1 | 2.411 | 98.0 |
| 2 4 0 | 2.682 | 95.3 |
| 1 3 2 | 2.293 | 79.3 |
| 3 0 1 | 2.373 | 53.7 |
| 1 7 2 | 1.629 | 45.2 |
| 1 4 2 | 2.119 | 37.6 |
| 3 3 1 | 2.134 | 36.6 |
| 0 6 0 | 2.440 | 31.8 |
| 0 4 0 | 3.658 | 31.5 |

Atomic structure:
Cell lengths 7.8888, 14.6379, 5.5035 Å; angles 90.00, 90.00, 90.00 degrees
Space group Pnma (No. 62)
One atom of each set of equivalent atoms:
Np 0.0345 0.1075 0.1080
Np 0.1614 0.2500 0.6521
Ge 0.1821 0.7500 0.6514
Ge 0.1839 0.0354 0.6047
Os 0.1010 0.6151 0.3730